# 1
Starting from a cell relaxed with PBE, the X-ray powder pattern of K4Si23 was calculated for CuKα.
Kinematic intensities with the Lorentz-polarization factor, no thermal factor.

Principal peaks in the range 10° ≤ 2θ ≤ 90°, by angle:
d (Å)  intensity
2.987  31
2.870  39
2.766  100
2.587  14
2.510  16
2.439  8
1.775  39
1.749  13
1.725  19
1.679  44
1.116  8
1.091  7

Structural model:
abc: 10.3478 10.3478 10.3478
angles: 90.00 90.00 90.00
Positions (direct):
K  0.0000  0.0000  0.0000
K  0.0000  0.2500  0.5000
K  0.0000  0.7500  0.5000
K  0.2500  0.5000  0.0000
K  0.5000  0.0000  0.2500
K  0.5000  0.0000  0.7500
K  0.5000  0.5000  0.5000
K  0.7500  0.5000  0.0000
Si  0.0000  0.3065  0.1186
Si  0.0000  0.3065  0.8814
Si  0.0000  0.5000  0.2500
Si  0.0000  0.5000  0.7500
Si  0.0000  0.6935  0.1186
Si  0.0000  0.6935  0.8814
Si  0.1186  0.0000  0.3065
Si  0.1186  0.0000  0.6935
Si  0.1848  0.1848  0.1848
Si  0.1848  0.1848  0.8152
Si  0.1848  0.8152  0.1848
Si  0.1848  0.8152  0.8152
Si  0.1935  0.5000  0.3814
Si  0.1935  0.5000  0.6186
Si  0.2500  0.0000  0.5000
Si  0.3065  0.1186  0.0000
Si  0.3065  0.8814  0.0000
Si  0.3152  0.3152  0.3152
Si  0.3152  0.3152  0.6848
Si  0.3152  0.6848  0.3152
Si  0.3152  0.6848  0.6848
Si  0.3814  0.1935  0.5000
Si  0.3814  0.8065  0.5000
Si  0.5000  0.2500  0.0000
Si  0.5000  0.3814  0.1935
Si  0.5000  0.3814  0.8065
Si  0.5000  0.6186  0.1935
Si  0.5000  0.6186  0.8065
Si  0.5000  0.7500  0.0000
Si  0.6186  0.1935  0.5000
Si  0.6186  0.8065  0.5000
Si  0.6848  0.3152  0.3152
Si  0.6848  0.3152  0.6848
Si  0.6848  0.6848  0.3152
Si  0.6848  0.6848  0.6848
Si  0.6935  0.1186  0.0000
Si  0.6935  0.8814  0.0000
Si  0.7500  0.0000  0.5000
Si  0.8065  0.5000  0.3814
Si  0.8065  0.5000  0.6186
Si  0.8152  0.1848  0.1848
Si  0.8152  0.1848  0.8152
Si  0.8152  0.8152  0.1848
Si  0.8152  0.8152  0.8152
Si  0.8814  0.0000  0.3065
Si  0.8814  0.0000  0.6935

***

# 2
Starting from a cell relaxed with PBE, the X-ray powder pattern of EuGe3Pt was calculated for CuKα.
Kinematic intensities with the Lorentz-polarization factor, no thermal factor.

Principal peaks in the range 10° ≤ 2θ ≤ 90°, by angle:
d (Å)  intensity
4.117  31
3.184  46
2.707  100
2.698  76
2.252  80
1.986  27
1.852  27
1.731  53
1.592  27
1.495  19
1.431  23
1.372  31

Structural model:
abc: 5.9963 5.9963 5.9963
angles: 135.89 135.89 64.15
Positions (direct):
Eu  0.0000  0.0000  0.0000
Ge  0.2583  0.7583  0.5000
Ge  0.4062  0.4062  0.0000
Ge  0.7583  0.2583  0.5000
Pt  0.6485  0.6485  0.0000

***

# 3
Starting from a cell relaxed with PBE, the X-ray powder pattern of NaMgSO4F was calculated for CuKα.
Kinematic intensities with the Lorentz-polarization factor, no thermal factor.

Principal peaks in the range 10° ≤ 2θ ≤ 90°, by angle:
d (Å)  intensity
4.839  39
3.610  27
3.479  19
3.290  100
3.095  88
2.920  24
2.613  89
2.296  33
1.738  46
1.678  22
1.511  23
1.460  15

Structural model:
abc: 5.4902 5.4902 7.1866
angles: 104.49 104.49 103.84
Positions (direct):
Na  0.1692  0.8308  0.7500
Na  0.8308  0.1692  0.2500
Mg  0.5000  0.5000  0.0000
Mg  0.5000  0.5000  0.5000
S  0.1784  0.8216  0.2500
S  0.8216  0.1784  0.7500
O  0.0932  0.2454  0.8956
O  0.1831  0.6284  0.3641
O  0.2454  0.0932  0.3956
O  0.3716  0.8169  0.1359
O  0.6284  0.1831  0.8641
O  0.7546  0.9068  0.6044
O  0.8169  0.3716  0.6359
O  0.9068  0.7546  0.1044
F  0.4222  0.5778  0.7500
F  0.5778  0.4222  0.2500

***

# 4
Starting from a cell relaxed with PBE, the X-ray powder pattern of CaCuGeH2O5 was calculated for CuKα.
Kinematic intensities with the Lorentz-polarization factor, no thermal factor.

Principal peaks in the range 10° ≤ 2θ ≤ 90°, by angle:
d (Å)  intensity
8.133  52
5.157  66
5.094  36
3.322  60
2.861  100
2.792  32
2.718  35
2.574  80
2.034  25
1.628  26
1.601  23
1.529  24

Structural model:
abc: 5.2203 16.2664 5.5725
angles: 90.00 102.61 90.00
Positions (direct):
Ca  0.1568  0.1779  0.3380
Ca  0.1568  0.3221  0.8380
Ca  0.8432  0.6779  0.1620
Ca  0.8432  0.8221  0.6620
Cu  0.0000  0.0000  0.0000
Cu  0.0000  0.5000  0.5000
Cu  0.5000  0.0000  0.5000
Cu  0.5000  0.5000  0.0000
Ge  0.4895  0.1113  0.9645
Ge  0.4895  0.3887  0.4645
Ge  0.5105  0.6113  0.5355
Ge  0.5105  0.8887  0.0355
H  0.1370  0.6668  0.7505
H  0.1370  0.8332  0.2505
H  0.3122  0.7368  0.9158
H  0.3122  0.7632  0.4158
H  0.6878  0.2368  0.5842
H  0.6878  0.2632  0.0842
H  0.8630  0.1668  0.7495
H  0.8630  0.3332  0.2495
O  0.1329  0.7084  0.8797
O  0.1329  0.7916  0.3797
O  0.1607  0.6057  0.4694
O  0.1607  0.8943  0.9694
O  0.3397  0.0487  0.1699
O  0.3397  0.4513  0.6699
O  0.3470  0.0878  0.6533
O  0.3470  0.4122  0.1533
O  0.4081  0.2118  0.0411
O  0.4081  0.2882  0.5411
O  0.5919  0.7118  0.4589
O  0.5919  0.7882  0.9589
O  0.6530  0.5878  0.8467
O  0.6530  0.9122  0.3467
O  0.6603  0.5487  0.3301
O  0.6603  0.9513  0.8301
O  0.8393  0.1057  0.0306
O  0.8393  0.3943  0.5306
O  0.8671  0.2084  0.6203
O  0.8671  0.2916  0.1203